For La4TbPr2Nd, a GGA-PBE-relaxed structure gives the computed X-ray powder pattern in this record (Cu Kα).

Atomic structure:
a b c (Å): 5.247 5.274 10.376
angles (deg): 90.00 90.08 90.00
Sites, in units of the cell vectors:
1 La 0.000 0.000 0.248
2 La 0.000 0.000 0.752
3 La 0.499 0.500 0.751
4 La 0.501 0.500 0.249
5 Tb 0.500 0.000 0.000
6 Pr 0.000 0.500 0.000
7 Pr 0.500 0.000 0.500
8 Nd 0.000 0.500 0.500

Peak list (10 most intense, 5° ≤ 2θ ≤ 70°, by angle)
two_theta	I/Imax	index
29.6	100	1 1 2
34.0	17	0 2 0
34.2	17	2 0 0
34.6	16	0 0 4
49.0	12	2 2 0
49.3	18	0 2 4
58.1	15	1 3 2
58.4	15	3 1 2
58.9	14	1 1 6
61.3	13	2 2 4